This entry pairs a crystal structure of Sr2Tl4IrPt with its simulated powder diffractogram. Radiation: Cu Kα X-rays. Structure: the GGA-PBE geometry in OQMD.
Peak positions follow from Bragg's law for the DFT cell and can differ from measured ones.

Largest 8 diffraction maxima, low angle first, 2θ from 10° to 80°:
| d_spacing | 2theta | I/Imax |
| --- | --- | --- |
| 5.534 | 16.0 | 56 |
| 2.921 | 30.6 | 100 |
| 2.837 | 31.5 | 42 |
| 2.684 | 33.4 | 70 |
| 2.341 | 38.5 | 75 |
| 2.301 | 39.1 | 46 |
| 2.294 | 39.3 | 88 |
| 2.219 | 40.6 | 55 |

Crystal structure
Cell lengths 8.2865, 5.9629, 5.9629 Å; angles 43.71, 90.00, 90.00 degrees
Fractional coordinates of all 8 atoms:
Sr  0.0000  0.0000  0.0000
Sr  0.5000  0.1294  0.1294
Tl  0.1964  0.7107  0.7107
Tl  0.2971  0.4195  0.4195
Tl  0.7029  0.4195  0.4195
Tl  0.8036  0.7107  0.7107
Ir  0.0000  0.2847  0.2847
Pt  0.5000  0.8440  0.8440